1.
HoTmI2O2: calculated powder X-ray diffraction pattern (Cu Kα X-rays), based on a DFT-relaxed cell (GGA-PBE, OQMD).
Lines closer than 0.1° are merged.

Structure:
```
data_HoTmI2O2
_chemical_formula_sum 'Ho4 Tm4 I8 O8'
_space_group_name_H-M_alt 'C 1 2/m 1'
_space_group_IT_number 12
_cell_length_a 19.8501
_cell_length_b 4.0038
_cell_length_c 7.6303
_cell_angle_alpha 90.00
_cell_angle_beta 93.44
_cell_angle_gamma 90.00
loop_
_space_group_symop_operation_xyz
'x,y,z'
'-x,-y,-z'
'-x,y,-z'
'x,-y,z'
'x+1/2,y+1/2,z'
'-x+1/2,-y+1/2,-z'
'-x+1/2,y+1/2,-z'
'x+1/2,-y+1/2,z'
loop_
_atom_site_label
_atom_site_type_symbol
_atom_site_fract_x
_atom_site_fract_y
_atom_site_fract_z
Ho1 Ho 0.1953 0.0000 0.1182
Tm1 Tm 0.1976 0.0000 0.6150
I1 I 0.0775 0.0000 0.8399
I2 I 0.1006 0.5000 0.3515
O1 O 0.2448 0.5000 0.6259
O2 O 0.2467 0.5000 0.1229
```

Largest 10 diffraction maxima, low angle first, 2θ from 10° to 80°:
- 2θ = 25.66°, rel. 53, (1 1 1)
- 2θ = 26.02°, rel. 48, (3 1 0)
- 2θ = 28.70°, rel. 73, (4 0 -2)
- 2θ = 30.45°, rel. 100, (4 0 2)
- 2θ = 31.77°, rel. 72, (5 1 0)
- 2θ = 32.57°, rel. 45, (1 1 -2)
- 2θ = 32.97°, rel. 47, (1 1 2)
- 2θ = 34.87°, rel. 45, (6 0 -2)
- 2θ = 38.96°, rel. 37, (7 1 0)
- 2θ = 45.30°, rel. 41, (0 2 0)

---

2.
DyHfAl2Pd4: calculated powder X-ray diffraction pattern (Cu Kα X-rays), based on a DFT-relaxed cell (GGA-PBE, OQMD).
Lines closer than 0.1° are merged.

Structure:
```
data_DyHfAl2Pd4
_chemical_formula_sum 'Dy1 Hf1 Al2 Pd4'
_space_group_name_H-M_alt 'P -6 m 2'
_space_group_IT_number 187
_space_group_name_Hall 'P -6 2'
_cell_length_a 4.3316
_cell_length_b 4.3316
_cell_length_c 8.8658
_cell_angle_alpha 90.00
_cell_angle_beta 90.00
_cell_angle_gamma 120.00
loop_
_atom_site_label
_atom_site_type_symbol
_atom_site_fract_x
_atom_site_fract_y
_atom_site_fract_z
Dy1 Dy 0.0000 0.0000 0.0000
Hf1 Hf 0.6667 0.3333 0.5000
Al1 Al 0.3333 0.6667 0.2619
Pd1 Pd 0.0000 0.0000 0.3428
Pd2 Pd 0.6667 0.3333 0.1773
```

Largest 10 diffraction maxima, low angle first, 2θ from 10° to 80°:
- 2θ = 23.72°, rel. 45, (1 0 0)
- 2θ = 25.79°, rel. 7, (1 0 1)
- 2θ = 38.79°, rel. 100, (1 0 3)
- 2θ = 41.70°, rel. 63, (1 1 0)
- 2θ = 48.54°, rel. 7, (2 0 0)
- 2θ = 58.26°, rel. 30, (2 0 3)
- 2θ = 68.21°, rel. 8, (1 0 6)
- 2θ = 74.18°, rel. 29, (2 1 3)
- 2θ = 76.13°, rel. 11, (3 0 0)
- 2θ = 78.33°, rel. 14, (1 1 6)

---

3.
TaZnFeIr: calculated powder X-ray diffraction pattern (Cu Kα X-rays), based on a DFT-relaxed cell (GGA-PBE, OQMD).
Lines closer than 0.1° are merged.

Structure:
```
data_TaZnFeIr
_chemical_formula_sum 'Ta2 Zn2 Fe2 Ir2'
_space_group_name_H-M_alt 'P -4 m 2'
_space_group_IT_number 115
_cell_length_a 4.3041
_cell_length_b 4.3041
_cell_length_c 6.0904
_cell_angle_alpha 90.00
_cell_angle_beta 90.00
_cell_angle_gamma 90.00
loop_
_space_group_symop_operation_xyz
'x,y,z'
'y,-x,-z'
'-x,-y,z'
'-y,x,-z'
'-x,y,z'
'-y,-x,-z'
'x,-y,z'
'y,x,-z'
loop_
_atom_site_label
_atom_site_type_symbol
_atom_site_fract_x
_atom_site_fract_y
_atom_site_fract_z
Ta1 Ta 0.0000 0.5000 0.2488
Zn1 Zn 0.0000 0.5000 0.7497
Fe1 Fe 0.0000 0.0000 0.0000
Fe2 Fe 0.5000 0.5000 0.5000
Ir1 Ir 0.0000 0.0000 0.5000
Ir2 Ir 0.5000 0.5000 0.0000
```

Largest 6 diffraction maxima, low angle first, 2θ from 10° to 80°:
- 2θ = 25.34°, rel. 28, (1 0 1)
- 2θ = 41.97°, rel. 100, (2 0 0)
- 2θ = 49.67°, rel. 15, (2 1 1)
- 2θ = 60.86°, rel. 17, (2 2 0)
- 2θ = 67.00°, rel. 6, (3 0 1)
- 2θ = 76.68°, rel. 33, (3 1 2)

---

4.
Cu5Ag4: calculated powder X-ray diffraction pattern (Cu Kα X-rays), based on a DFT-relaxed cell (GGA-PBE, OQMD).
Lines closer than 0.1° are merged.

Structure:
```
data_Cu5Ag4
_chemical_formula_sum 'Cu10 Ag8'
_space_group_name_H-M_alt 'C 1 m 1'
_space_group_IT_number 8
_cell_length_a 9.4292
_cell_length_b 2.8373
_cell_length_c 10.5620
_cell_angle_alpha 90.00
_cell_angle_beta 111.94
_cell_angle_gamma 90.00
loop_
_space_group_symop_operation_xyz
'x,y,z'
'x,-y,z'
'x+1/2,y+1/2,z'
'x+1/2,-y+1/2,z'
loop_
_atom_site_label
_atom_site_type_symbol
_atom_site_fract_x
_atom_site_fract_y
_atom_site_fract_z
Cu1 Cu 0.0000 0.0000 0.0000
Cu2 Cu 0.0123 0.0000 0.7006
Cu3 Cu 0.1362 0.5000 0.5724
Cu4 Cu 0.1609 0.5000 0.9078
Cu5 Cu 0.3411 0.0000 0.0968
Ag1 Ag 0.1732 0.5000 0.2142
Ag2 Ag 0.3238 0.0000 0.4808
Ag3 Ag 0.3240 0.0000 0.7863
Ag4 Ag 0.4927 0.5000 0.3377
```

Largest 10 diffraction maxima, low angle first, 2θ from 10° to 80°:
- 2θ = 34.65°, rel. 9, (2 0 -4)
- 2θ = 40.16°, rel. 100, (2 0 3)
- 2θ = 40.85°, rel. 99, (1 1 -3)
- 2θ = 44.56°, rel. 82, (3 1 0)
- 2θ = 51.94°, rel. 17, (2 0 -6)
- 2θ = 63.86°, rel. 12, (6 0 0)
- 2θ = 65.83°, rel. 12, (0 2 0)
- 2θ = 70.80°, rel. 24, (1 1 6)
- 2θ = 78.64°, rel. 22, (5 1 3)
- 2θ = 80.00°, rel. 11, (4 2 -3)